No. 1
Simulated powder diffractogram
Compound: MnCoNiSn
Radiation: λ = 1.5418 Å (Cu Kα)
Structure: DFT lattice parameters and positions (GGA-PBE)
Lines closer than 0.1° are merged.

Peak list (8 most intense, 10 to 90 degrees two-theta, sorted by position)
| d_spacing | I_rel | (hkl) |
| --- | --- | --- |
| 3.475 | 16 | 1 0 1 |
| 2.165 | 100 | 1 1 2 |
| 2.059 | 43 | 2 0 0 |
| 1.771 | 6 | 2 1 1 |
| 1.619 | 10 | 0 0 4 |
| 1.456 | 13 | 2 2 0 |
| 1.273 | 17 | 2 0 4 |
| 1.208 | 29 | 3 1 2 |

Atomic structure:
```
data_MnCoNiSn
_chemical_formula_sum 'Mn2 Co2 Ni2 Sn2'
_symmetry_space_group_name_H-M 'I -4 m 2'
_symmetry_Int_Tables_number 119
_symmetry_space_group_name_Hall 'I -4 -2'
_cell_length_a 4.118
_cell_length_b 4.118
_cell_length_c 6.475
_cell_angle_alpha 90.00
_cell_angle_beta 90.00
_cell_angle_gamma 90.00
loop_
_atom_site_label
_atom_site_type_symbol
_atom_site_fract_x
_atom_site_fract_y
_atom_site_fract_z
Mn1 Mn 0.000 0.000 0.000
Co1 Co 0.000 0.500 0.750
Ni1 Ni 0.000 0.500 0.250
Sn1 Sn 0.000 0.000 0.500
```

=====

No. 2
Simulated powder diffractogram
Compound: NpMn2Co
Radiation: λ = 1.5418 Å (Cu Kα)
Structure: DFT lattice parameters and positions (GGA-PBE)
Lines closer than 0.1° are merged.

Peak list (8 most intense, 10 to 90 degrees two-theta, sorted by position)
| d_spacing | I_rel | (hkl) |
| --- | --- | --- |
| 3.850 | 57 | 0 0 1 |
| 2.722 | 48 | 1 1 0 |
| 2.223 | 100 | 1 1 1 |
| 1.925 | 48 | 2 0 0 |
| 1.722 | 27 | 2 0 1 |
| 1.572 | 20 | 1 1 2 |
| 1.361 | 30 | 2 2 0 |
| 1.161 | 36 | 3 1 1 |

Atomic structure:
```
data_NpMn2Co
_chemical_formula_sum 'Np1 Mn2 Co1'
_symmetry_space_group_name_H-M 'P 4/m m m'
_symmetry_Int_Tables_number 123
_symmetry_space_group_name_Hall '-P 4 2'
_cell_length_a 3.848
_cell_length_b 3.848
_cell_length_c 3.853
_cell_angle_alpha 90.00
_cell_angle_beta 90.00
_cell_angle_gamma 90.00
loop_
_atom_site_label
_atom_site_type_symbol
_atom_site_fract_x
_atom_site_fract_y
_atom_site_fract_z
Np1 Np 0.000 0.000 0.000
Mn1 Mn 0.000 0.500 0.500
Co1 Co 0.500 0.500 0.000
```

=====

No. 3
Simulated powder diffractogram
Compound: NpMnCo4
Radiation: λ = 1.5418 Å (Cu Kα)
Structure: DFT lattice parameters and positions (GGA-PBE)
Lines closer than 0.1° are merged.

Peak list (8 most intense, 10 to 90 degrees two-theta, sorted by position)
| d_spacing | I_rel | (hkl) |
| --- | --- | --- |
| 7.991 | 68 | 0 0 1 |
| 3.686 | 38 | 0 1 1 |
| 2.880 | 59 | 0 1 2 |
| 2.399 | 58 | 1 1 0 |
| 2.242 | 100 | 1 0 3 |
| 2.057 | 73 | 1 1 2 |
| 2.011 | 66 | 2 0 1 |
| 1.353 | 38 | 2 1 3 |

Atomic structure:
```
data_NpMnCo4
_chemical_formula_sum 'Np2 Mn2 Co8'
_symmetry_space_group_name_H-M 'P -3 m 1'
_symmetry_Int_Tables_number 164
_symmetry_space_group_name_Hall '-P 3 2"'
_cell_length_a 4.7975
_cell_length_b 4.7975
_cell_length_c 7.9908
_cell_angle_alpha 90.00
_cell_angle_beta 90.00
_cell_angle_gamma 120.00
loop_
_atom_site_label
_atom_site_type_symbol
_atom_site_fract_x
_atom_site_fract_y
_atom_site_fract_z
Np1 Np 0.3333 0.6667 0.4173
Mn1 Mn 0.3333 0.6667 0.0482
Co1 Co 0.0000 0.0000 0.0000
Co2 Co 0.0000 0.0000 0.5000
Co3 Co 0.1685 0.3370 0.7612
```

=====

No. 4
Simulated powder diffractogram
Compound: NpMnCo
Radiation: λ = 1.5418 Å (Cu Kα)
Structure: DFT lattice parameters and positions (GGA-PBE)
Lines closer than 0.1° are merged.

Peak list (8 most intense, 10 to 90 degrees two-theta, sorted by position)
| d_spacing | I_rel | (hkl) |
| --- | --- | --- |
| 6.587 | 100 | 2 0 0 |
| 3.294 | 27 | 4 0 0 |
| 2.563 | 22 | 0 0 1 |
| 2.500 | 50 | 1 1 0 |
| 2.368 | 31 | 2 0 1 |
| 2.203 | 27 | 3 1 0 |
| 2.196 | 31 | 6 0 0 |
| 1.785 | 21 | 1 1 1 |

Atomic structure:
```
data_NpMnCo
_chemical_formula_sum 'Np2 Mn2 Co2'
_symmetry_space_group_name_H-M 'C 1 m 1'
_symmetry_Int_Tables_number 8
_symmetry_space_group_name_Hall 'C -2y'
_cell_length_a 13.179
_cell_length_b 2.546
_cell_length_c 2.564
_cell_angle_alpha 90.00
_cell_angle_beta 91.48
_cell_angle_gamma 90.00
loop_
_atom_site_label
_atom_site_type_symbol
_atom_site_fract_x
_atom_site_fract_y
_atom_site_fract_z
Np1 Np 0.000 0.000 0.000
Mn1 Mn 0.175 0.500 0.624
Co1 Co 0.330 0.500 0.135
```

=====

No. 5
Simulated powder diffractogram
Compound: NpMnCo2
Radiation: λ = 1.5418 Å (Cu Kα)
Structure: DFT lattice parameters and positions (GGA-PBE)
Lines closer than 0.1° are merged.

Peak list (8 most intense, 10 to 90 degrees two-theta, sorted by position)
| d_spacing | I_rel | (hkl) |
| --- | --- | --- |
| 3.837 | 39 | 1 0 0 |
| 3.726 | 16 | 0 0 1 |
| 2.673 | 32 | 1 0 1 |
| 2.193 | 100 | 1 1 1 |
| 1.919 | 33 | 2 0 0 |
| 1.863 | 15 | 0 0 2 |
| 1.337 | 20 | 2 0 2 |
| 1.154 | 25 | 3 1 1 |

Atomic structure:
```
data_NpMnCo2
_chemical_formula_sum 'Np1 Mn1 Co2'
_symmetry_space_group_name_H-M 'P 4/m m m'
_symmetry_Int_Tables_number 123
_symmetry_space_group_name_Hall '-P 4 2'
_cell_length_a 3.837
_cell_length_b 3.837
_cell_length_c 3.726
_cell_angle_alpha 90.00
_cell_angle_beta 90.00
_cell_angle_gamma 90.00
loop_
_atom_site_label
_atom_site_type_symbol
_atom_site_fract_x
_atom_site_fract_y
_atom_site_fract_z
Np1 Np 0.000 0.000 0.000
Mn1 Mn 0.500 0.500 0.000
Co1 Co 0.000 0.500 0.500
```